The following is a calculated powder X-ray diffraction pattern of Nd7GeSe5. It was derived from a DFT-relaxed cell (GGA-PBE, Alexandria), using copper Kα.
Kinematic intensities with the Lorentz-polarization factor, no thermal factor.

Structural model:
abc: 7.212 7.212 24.941
angles: 90.00 90.00 146.11
Atoms (fractional coordinates):
Nd 0.036 0.964 0.750
Nd 0.139 0.861 0.038
Nd 0.139 0.861 0.462
Nd 0.306 0.694 0.681
Nd 0.306 0.694 0.819
Nd 0.409 0.591 0.116
Nd 0.409 0.591 0.384
Nd 0.591 0.409 0.616
Nd 0.591 0.409 0.884
Nd 0.694 0.306 0.181
Nd 0.694 0.306 0.319
Nd 0.861 0.139 0.538
Nd 0.861 0.139 0.962
Nd 0.964 0.036 0.250
Ge 0.309 0.691 0.250
Ge 0.691 0.309 0.750
Se 0.052 0.948 0.144
Se 0.052 0.948 0.356
Se 0.224 0.776 0.572
Se 0.224 0.776 0.928
Se 0.500 0.500 0.000
Se 0.500 0.500 0.500
Se 0.776 0.224 0.072
Se 0.776 0.224 0.428
Se 0.948 0.052 0.644
Se 0.948 0.052 0.856

The 10 most intense peaks (2θ = 5–70°), by intensity:
| 2θ/deg | d_spacing | intensity |
| --- | --- | --- |
| 29.66 | 3.012 | 100 |
| 28.19 | 3.166 | 79 |
| 30.75 | 2.907 | 66 |
| 31.49 | 2.841 | 40 |
| 43.03 | 2.102 | 39 |
| 39.49 | 2.282 | 37 |
| 43.20 | 2.094 | 35 |
| 29.00 | 3.080 | 33 |
| 42.66 | 2.120 | 30 |
| 52.23 | 1.751 | 28 |